Entry 1:
For Tb6Y3Sc, a PBE-relaxed structure gives the simulated powder diffraction line list in this record (λ = 1.5418 Å (Cu Kα)).

Top 10 peaks for 2θ from 15° to 90°, by intensity:
two_theta	d (Å)	I (rel.)
29.3	3.046	100
31.7	2.824	96
55.0	1.670	33
43.7	2.071	33
57.5	1.603	22
56.4	1.631	18
74.0	1.281	13
66.2	1.412	11
76.2	1.250	9
84.8	1.143	7

Atomic structure:
Unit cell a=6.859 b=6.859 c=6.859 alpha=90.98 beta=90.98 gamma=90.98
Atoms (fractional coordinates):
Tb: 0.003 0.325 0.672
Tb: 0.160 0.834 0.511
Tb: 0.325 0.672 0.003
Tb: 0.511 0.160 0.834
Tb: 0.672 0.003 0.325
Tb: 0.834 0.511 0.160
Y: 0.168 0.168 0.168
Y: 0.425 0.425 0.425
Y: 0.676 0.676 0.676
Sc: 0.923 0.923 0.923

=====

Entry 2:
For Tb3YSc, a PBE-relaxed structure gives the simulated powder diffraction line list in this record (λ = 1.5418 Å (Cu Kα)).

Top 10 peaks for 2θ from 15° to 90°, by intensity:
two_theta	d (Å)	I (rel.)
31.1	2.875	100
32.0	2.800	97
33.7	2.659	51
33.5	2.672	46
48.3	1.885	37
62.8	1.480	27
59.7	1.549	21
21.6	4.107	20
58.4	1.579	17
59.0	1.566	17

Atomic structure:
Unit cell a=8.643 b=8.643 c=6.973 alpha=90.02 beta=90.02 gamma=36.02
Atoms (fractional coordinates):
Tb: 0.004 0.004 0.250
Tb: 0.201 0.201 0.749
Tb: 0.388 0.388 0.502
Tb: 0.612 0.612 0.498
Tb: 0.799 0.799 0.251
Tb: 0.996 0.996 0.750
Y: 0.388 0.388 0.998
Y: 0.612 0.612 0.002
Sc: 0.201 0.201 0.250
Sc: 0.799 0.799 0.750